Entry 1:
Diffraction record for Fe2Os3Ru4. The PXRD pattern is simulated, not measured: it uses the PBE geometry in Alexandria and Cu Kα (weighted mean of Kα1 and Kα2).
Peak positions follow from Bragg's law for the DFT cell and can differ from measured ones.

Principal peaks in the range 2θ from 5° to 70°, by angle:
| d_spacing | 2theta | intensity |
| --- | --- | --- |
| 2.171 | 41.60 | 50 |
| 2.164 | 41.75 | 69 |
| 2.155 | 41.92 | 80 |
| 2.113 | 42.81 | 100 |
| 2.059 | 43.97 | 70 |
| 2.016 | 44.97 | 69 |
| 2.001 | 45.33 | 47 |
| 1.960 | 46.31 | 58 |

Atomic structure:
Lattice parameters (Å, degrees): 5.300 6.517 8.276 107.95 108.58 90.44
Sites, in units of the cell vectors:
Fe  0.028  0.187  0.056
Fe  0.413  0.421  0.338
Fe  0.587  0.579  0.662
Fe  0.972  0.813  0.944
Os  0.120  0.025  0.742
Os  0.159  0.445  0.918
Os  0.275  0.221  0.550
Os  0.725  0.779  0.450
Os  0.841  0.555  0.082
Os  0.880  0.975  0.258
Ru  0.081  0.597  0.664
Ru  0.223  0.776  0.441
Ru  0.375  0.017  0.252
Ru  0.485  0.788  0.949
Ru  0.515  0.212  0.051
Ru  0.625  0.983  0.748
Ru  0.777  0.224  0.559
Ru  0.919  0.403  0.336

Entry 2:
Diffraction record for Cs2Ga3Ge2. The PXRD pattern is simulated, not measured: it uses the PBE geometry in Alexandria and Cu Kα (weighted mean of Kα1 and Kα2).
Peak positions follow from Bragg's law for the DFT cell and can differ from measured ones.

Principal peaks in the range 2θ from 5° to 70°, by angle:
| d_spacing | 2theta | intensity |
| --- | --- | --- |
| 3.286 | 27.14 | 53 |
| 3.269 | 27.29 | 100 |
| 2.927 | 30.54 | 82 |
| 2.888 | 30.97 | 78 |
| 2.792 | 32.05 | 35 |
| 2.324 | 38.75 | 70 |
| 2.198 | 41.06 | 53 |
| 2.095 | 43.19 | 46 |

Atomic structure:
Lattice parameters (Å, degrees): 4.199 7.365 7.427 89.00 76.28 87.31
Sites, in units of the cell vectors:
Cs  0.148  0.408  0.249
Cs  0.852  0.592  0.751
Ga  0.000  0.000  0.500
Ga  0.225  0.881  0.045
Ga  0.775  0.119  0.955
Ge  0.397  0.109  0.719
Ge  0.603  0.891  0.281

Entry 3:
Diffraction record for Pr10Sn3Te3. The PXRD pattern is simulated, not measured: it uses the PBE geometry in Alexandria and Cu Kα (weighted mean of Kα1 and Kα2).
Peak positions follow from Bragg's law for the DFT cell and can differ from measured ones.

Principal peaks in the range 2θ from 5° to 70°, by angle:
| d_spacing | 2theta | intensity |
| --- | --- | --- |
| 3.289 | 27.11 | 18 |
| 3.093 | 28.87 | 31 |
| 3.052 | 29.27 | 17 |
| 2.799 | 31.98 | 100 |
| 2.727 | 32.84 | 60 |
| 2.699 | 33.19 | 87 |
| 1.918 | 47.39 | 24 |
| 1.788 | 51.09 | 35 |

Atomic structure:
Lattice parameters (Å, degrees): 9.448 9.448 6.578 90.00 90.00 120.00
Sites, in units of the cell vectors:
Pr  0.000  0.250  0.000
Pr  0.000  0.750  0.500
Pr  0.250  0.000  0.000
Pr  0.250  0.250  0.500
Pr  0.333  0.667  0.251
Pr  0.333  0.667  0.749
Pr  0.667  0.333  0.251
Pr  0.667  0.333  0.749
Pr  0.750  0.000  0.500
Pr  0.750  0.750  0.000
Sn  0.000  0.388  0.500
Sn  0.388  0.000  0.500
Sn  0.612  0.612  0.500
Te  0.000  0.616  0.000
Te  0.384  0.384  0.000
Te  0.616  0.000  0.000

Entry 4:
Diffraction record for Al6Cu2Ni. The PXRD pattern is simulated, not measured: it uses the PBE geometry in Alexandria and Cu Kα (weighted mean of Kα1 and Kα2).
Peak positions follow from Bragg's law for the DFT cell and can differ from measured ones.

Principal peaks in the range 2θ from 5° to 70°, by angle:
| d_spacing | 2theta | intensity |
| --- | --- | --- |
| 3.320 | 26.85 | 100 |
| 2.036 | 44.50 | 79 |
| 2.030 | 44.63 | 20 |
| 2.026 | 44.73 | 19 |
| 1.741 | 52.58 | 15 |
| 1.733 | 52.84 | 14 |
| 1.729 | 52.96 | 14 |
| 1.445 | 64.47 | 6 |

Atomic structure:
Lattice parameters (Å, degrees): 7.025 7.025 4.061 106.66 106.66 48.60
Sites, in units of the cell vectors:
Al  0.082  0.590  0.337
Al  0.241  0.759  0.000
Al  0.410  0.918  0.663
Al  0.590  0.082  0.337
Al  0.759  0.241  0.000
Al  0.918  0.410  0.663
Cu  0.334  0.334  0.834
Cu  0.666  0.666  0.166
Ni  0.000  0.000  0.500

Entry 5:
Diffraction record for Ca7Cu17O24. The PXRD pattern is simulated, not measured: it uses the PBE geometry in Alexandria and Cu Kα (weighted mean of Kα1 and Kα2).
Peak positions follow from Bragg's law for the DFT cell and can differ from measured ones.

Principal peaks in the range 2θ from 5° to 70°, by angle:
| d_spacing | 2theta | intensity |
| --- | --- | --- |
| 3.675 | 24.22 | 25 |
| 2.963 | 30.16 | 59 |
| 2.725 | 32.87 | 100 |
| 2.579 | 34.78 | 80 |
| 2.471 | 36.35 | 95 |
| 2.030 | 44.63 | 55 |
| 1.670 | 55.00 | 28 |
| 1.569 | 58.86 | 40 |

Atomic structure:
Lattice parameters (Å, degrees): 10.018 16.244 3.675 90.00 90.00 90.00
Sites, in units of the cell vectors:
Ca  0.000  0.000  0.000
Ca  0.000  0.256  0.990
Ca  0.000  0.744  0.990
Ca  0.500  0.126  0.737
Ca  0.500  0.374  0.683
Ca  0.500  0.626  0.683
Ca  0.500  0.874  0.737
Cu  0.000  0.500  0.996
Cu  0.156  0.382  0.498
Cu  0.156  0.618  0.498
Cu  0.162  0.127  0.514
Cu  0.162  0.873  0.514
Cu  0.333  0.253  0.217
Cu  0.333  0.747  0.217
Cu  0.334  0.500  0.156
Cu  0.335  0.000  0.229
Cu  0.665  0.000  0.229
Cu  0.666  0.500  0.156
Cu  0.667  0.253  0.217
Cu  0.667  0.747  0.217
Cu  0.838  0.127  0.514
Cu  0.838  0.873  0.514
Cu  0.844  0.382  0.498
Cu  0.844  0.618  0.498
O  0.000  0.127  0.767
O  0.000  0.388  0.788
O  0.000  0.612  0.788
O  0.000  0.873  0.767
O  0.163  0.500  0.361
O  0.165  0.257  0.467
O  0.165  0.743  0.467
O  0.167  0.000  0.467
O  0.324  0.377  0.240
O  0.324  0.623  0.240
O  0.329  0.130  0.277
O  0.329  0.870  0.277
O  0.500  0.000  0.986
O  0.500  0.253  0.980
O  0.500  0.500  0.920
O  0.500  0.747  0.980
O  0.671  0.130  0.277
O  0.671  0.870  0.277
O  0.676  0.377  0.240
O  0.676  0.623  0.240
O  0.833  0.000  0.467
O  0.835  0.257  0.467
O  0.835  0.743  0.467
O  0.837  0.500  0.361

Entry 6:
Diffraction record for Li2BeSeO4. The PXRD pattern is simulated, not measured: it uses the PBE geometry in Alexandria and Cu Kα (weighted mean of Kα1 and Kα2).
Peak positions follow from Bragg's law for the DFT cell and can differ from measured ones.

Principal peaks in the range 2θ from 5° to 70°, by angle:
| d_spacing | 2theta | intensity |
| --- | --- | --- |
| 4.136 | 21.48 | 18 |
| 3.970 | 22.40 | 100 |
| 3.199 | 27.89 | 24 |
| 2.531 | 35.47 | 68 |
| 2.355 | 38.22 | 23 |
| 1.985 | 45.71 | 17 |
| 1.965 | 46.19 | 28 |
| 1.526 | 60.67 | 21 |

Atomic structure:
Lattice parameters (Å, degrees): 5.229 5.229 5.229 128.73 128.73 75.44
Sites, in units of the cell vectors:
Li  0.000  0.000  0.000
Li  0.750  0.250  0.500
Be  0.250  0.750  0.500
Se  0.500  0.500  0.000
O  0.150  0.643  0.066
O  0.357  0.423  0.506
O  0.577  0.084  0.934
O  0.916  0.850  0.494

Repeat the first record exactly.
Diffraction record for Fe2Os3Ru4. The PXRD pattern is simulated, not measured: it uses the PBE geometry in Alexandria and Cu Kα (weighted mean of Kα1 and Kα2).
Peak positions follow from Bragg's law for the DFT cell and can differ from measured ones.

Principal peaks in the range 2θ from 5° to 70°, by angle:
| d_spacing | 2theta | intensity |
| --- | --- | --- |
| 2.171 | 41.60 | 50 |
| 2.164 | 41.75 | 69 |
| 2.155 | 41.92 | 80 |
| 2.113 | 42.81 | 100 |
| 2.059 | 43.97 | 70 |
| 2.016 | 44.97 | 69 |
| 2.001 | 45.33 | 47 |
| 1.960 | 46.31 | 58 |

Atomic structure:
Lattice parameters (Å, degrees): 5.300 6.517 8.276 107.95 108.58 90.44
Sites, in units of the cell vectors:
Fe  0.028  0.187  0.056
Fe  0.413  0.421  0.338
Fe  0.587  0.579  0.662
Fe  0.972  0.813  0.944
Os  0.120  0.025  0.742
Os  0.159  0.445  0.918
Os  0.275  0.221  0.550
Os  0.725  0.779  0.450
Os  0.841  0.555  0.082
Os  0.880  0.975  0.258
Ru  0.081  0.597  0.664
Ru  0.223  0.776  0.441
Ru  0.375  0.017  0.252
Ru  0.485  0.788  0.949
Ru  0.515  0.212  0.051
Ru  0.625  0.983  0.748
Ru  0.777  0.224  0.559
Ru  0.919  0.403  0.336

Q: What is the formula in the fourth record?
A: Al6Cu2Ni